Starting from a cell relaxed with PBE, the powder X-ray diffraction pattern of PuU2PN5 was calculated for a wavelength of 1.5418 Å.
Lines closer than 0.1° are merged.

Largest 8 diffraction maxima, in order of rising 2θ, 2θ = 10–90°:
two_theta  I (rel.)  h k l
25.53  54  1 1 1
31.05  35  2 1 0
32.32  100  2 0 1
33.00  42  0 0 2
35.27  68  2 1 1
44.48  33  3 1 0
45.94  39  2 1 2
56.49  26  3 1 2

Atomic structure:
```
data_PuU2PN5
_space_group_name_H-M_alt 'P 4/m b m'
_space_group_IT_number 127
_space_group_name_Hall '-P 4 2ab'
_cell_length_a 6.4408
_cell_length_b 6.4408
_cell_length_c 5.4287
_cell_angle_alpha 90.00
_cell_angle_beta 90.00
_cell_angle_gamma 90.00
loop_
_atom_site_label
_atom_site_type_symbol
_atom_site_fract_x
_atom_site_fract_y
_atom_site_fract_z
_atom_site_occupancy
Pu1 Pu 0.0000 0.0000 0.0000 1
U1 U 0.1739 0.3261 0.5000 1
P1 P 0.0000 0.5000 0.0000 1
N1 N 0.0000 0.0000 0.5000 1
N2 N 0.1409 0.6409 0.2339 1
```

***

Starting from a cell relaxed with PBE, the powder X-ray diffraction pattern of PuRe2Si2C was calculated for a wavelength of 1.5418 Å.
Lines closer than 0.1° are merged.

Largest 8 diffraction maxima, in order of rising 2θ, 2θ = 10–90°:
two_theta  I (rel.)  h k l
27.36  23  1 0 1
34.05  23  0 0 2
35.00  100  1 1 1
40.58  16  1 0 2
43.61  34  2 0 0
56.46  22  2 0 2
61.56  18  1 1 3
74.50  23  3 1 1

Atomic structure:
```
data_PuRe2Si2C
_space_group_name_H-M_alt 'P 4/m m m'
_space_group_IT_number 123
_space_group_name_Hall '-P 4 2'
_cell_length_a 4.1506
_cell_length_b 4.1506
_cell_length_c 5.2655
_cell_angle_alpha 90.00
_cell_angle_beta 90.00
_cell_angle_gamma 90.00
loop_
_atom_site_label
_atom_site_type_symbol
_atom_site_fract_x
_atom_site_fract_y
_atom_site_fract_z
_atom_site_occupancy
Pu1 Pu 0.0000 0.0000 0.0000 1
Re1 Re 0.0000 0.5000 0.5000 1
Si1 Si 0.5000 0.5000 0.2190 1
C1 C 0.0000 0.0000 0.5000 1
```

***

Starting from a cell relaxed with PBE, the powder X-ray diffraction pattern of SrAlCdAu3 was calculated for a wavelength of 1.5418 Å.
Lines closer than 0.1° are merged.

Largest 8 diffraction maxima, in order of rising 2θ, 2θ = 10–90°:
two_theta  I (rel.)  h k l
13.31  61  0 2 0
20.15  42  1 1 1
29.84  93  0 2 2
30.57  77  2 2 0
38.11  58  0 4 2
38.54  100  2 0 2
38.69  50  2 4 0
57.28  40  2 6 2

Atomic structure:
```
data_SrAlCdAu3
_space_group_name_H-M_alt 'C m c m'
_space_group_IT_number 63
_space_group_name_Hall '-C 2c 2'
_cell_length_a 6.5121
_cell_length_b 13.3090
_cell_length_c 6.7050
_cell_angle_alpha 90.00
_cell_angle_beta 90.00
_cell_angle_gamma 90.00
loop_
_atom_site_label
_atom_site_type_symbol
_atom_site_fract_x
_atom_site_fract_y
_atom_site_fract_z
_atom_site_occupancy
Sr1 Sr 0.0000 0.2026 0.2500 1
Al1 Al 0.0000 0.4602 0.2500 1
Cd1 Cd 0.0000 0.1401 0.7500 1
Au1 Au 0.0000 0.3434 0.7500 1
Au2 Au 0.2176 0.0000 0.0000 1
```

***

Starting from a cell relaxed with PBE, the powder X-ray diffraction pattern of Ca2TiAlO5 was calculated for a wavelength of 1.5418 Å.
Lines closer than 0.1° are merged.

Largest 8 diffraction maxima, in order of rising 2θ, 2θ = 10–90°:
two_theta  I (rel.)  h k l
12.20  42  2 0 0
31.26  32  0 2 0
33.01  43  0 0 2
33.59  100  4 1 1
43.94  29  6 1 1
46.10  48  0 2 2
50.31  19  8 0 0
59.33  22  4 1 3

Atomic structure:
```
data_Ca2TiAlO5
_space_group_name_H-M_alt 'I m a 2'
_space_group_IT_number 46
_cell_length_a 14.5088
_cell_length_b 5.7232
_cell_length_c 5.4269
_cell_angle_alpha 90.00
_cell_angle_beta 90.00
_cell_angle_gamma 90.00
loop_
_space_group_symop_operation_xyz
'x,y,z'
'-x,-y,z'
'-x+1/2,y,z'
'x+1/2,-y,z'
'x+1/2,y+1/2,z+1/2'
'-x+1/2,-y+1/2,z+1/2'
'-x,y+1/2,z+1/2'
'x,-y+1/2,z+1/2'
loop_
_atom_site_label
_atom_site_type_symbol
_atom_site_fract_x
_atom_site_fract_y
_atom_site_fract_z
_atom_site_occupancy
Ca1 Ca 0.1105 0.0343 0.0000 1
Ti1 Ti 0.0000 0.0000 0.5126 1
Al1 Al 0.2500 0.5773 0.9703 1
O1 O 0.0131 0.7475 0.7608 1
O2 O 0.1472 0.0717 0.5384 1
O3 O 0.2500 0.6495 0.6416 1
```

***

Starting from a cell relaxed with PBE, the powder X-ray diffraction pattern of Cs2Sn5Bi was calculated for a wavelength of 1.5418 Å.
Lines closer than 0.1° are merged.

Largest 8 diffraction maxima, in order of rising 2θ, 2θ = 10–90°:
two_theta  I (rel.)  h k l
12.76  55  2 0 0
22.20  94  3 1 -1
27.98  82  0 0 2
28.93  44  3 1 -2
29.57  78  2 2 0
30.09  46  2 2 -1
31.59  89  3 1 1
36.65  100  2 2 -2

Atomic structure:
```
data_Cs2Sn5Bi
_space_group_name_H-M_alt 'C 1 m 1'
_space_group_IT_number 8
_cell_length_a 15.6145
_cell_length_b 6.7118
_cell_length_c 7.1816
_cell_angle_alpha 90.00
_cell_angle_beta 117.30
_cell_angle_gamma 90.00
loop_
_space_group_symop_operation_xyz
'x,y,z'
'x,-y,z'
'x+1/2,y+1/2,z'
'x+1/2,-y+1/2,z'
loop_
_atom_site_label
_atom_site_type_symbol
_atom_site_fract_x
_atom_site_fract_y
_atom_site_fract_z
_atom_site_occupancy
Cs1 Cs 0.0000 0.0000 0.0000 1
Cs2 Cs 0.0061 0.5000 0.5067 1
Sn1 Sn 0.1452 0.5000 0.1451 1
Sn2 Sn 0.2490 0.2210 0.5387 1
Sn3 Sn 0.2495 0.2210 0.9598 1
Bi1 Bi 0.3626 0.5000 0.3632 1
```

***

Starting from a cell relaxed with PBE, the powder X-ray diffraction pattern of TcHg was calculated for a wavelength of 1.5418 Å.
Lines closer than 0.1° are merged.

Largest 8 diffraction maxima, in order of rising 2θ, 2θ = 10–90°:
two_theta  I (rel.)  h k l
35.50  26  1 0 0
37.09  22  0 0 6
40.22  100  0 1 3
52.28  14  1 0 6
63.75  18  1 1 0
68.97  12  0 1 9
76.11  17  1 1 6
78.12  15  2 0 3

Atomic structure:
```
data_TcHg
_space_group_name_H-M_alt 'P 3 m 1'
_space_group_IT_number 156
_cell_length_a 2.9198
_cell_length_b 2.9198
_cell_length_c 14.5433
_cell_angle_alpha 90.00
_cell_angle_beta 90.00
_cell_angle_gamma 120.00
loop_
_space_group_symop_operation_xyz
'x,y,z'
'-y,x-y,z'
'-x+y,-x,z'
'-y,-x,z'
'-x+y,y,z'
'x,x-y,z'
loop_
_atom_site_label
_atom_site_type_symbol
_atom_site_fract_x
_atom_site_fract_y
_atom_site_fract_z
_atom_site_occupancy
Tc1 Tc 0.0000 0.0000 0.0000 1
Tc2 Tc 0.0000 0.0000 0.3344 1
Tc3 Tc 0.3333 0.6667 0.8659 1
Hg1 Hg 0.0000 0.0000 0.6954 1
Hg2 Hg 0.3333 0.6667 0.1698 1
Hg3 Hg 0.3333 0.6667 0.4999 1
```

***

Starting from a cell relaxed with PBE, the powder X-ray diffraction pattern of TaBe9V2 was calculated for a wavelength of 1.5418 Å.
Lines closer than 0.1° are merged.

Largest 8 diffraction maxima, in order of rising 2θ, 2θ = 10–90°:
two_theta  I (rel.)  h k l
23.77  100  1 0 1
24.95  41  0 1 2
26.14  27  0 0 6
32.12  23  0 1 5
38.85  45  1 0 7
41.06  41  1 1 0
42.60  29  0 1 8
49.33  42  1 1 6

Atomic structure:
```
data_TaBe9V2
_space_group_name_H-M_alt 'R -3 m'
_space_group_IT_number 166
_space_group_name_Hall '-R 3 2"'
_cell_length_a 4.3966
_cell_length_b 4.3966
_cell_length_c 20.4518
_cell_angle_alpha 90.00
_cell_angle_beta 90.00
_cell_angle_gamma 120.00
loop_
_atom_site_label
_atom_site_type_symbol
_atom_site_fract_x
_atom_site_fract_y
_atom_site_fract_z
_atom_site_occupancy
Ta1 Ta 0.0000 0.0000 0.0000 1
Be1 Be 0.0000 0.0000 0.3343 1
Be2 Be 0.0000 0.0000 0.5000 1
Be3 Be 0.0059 0.5029 0.9165 1
V1 V 0.0000 0.0000 0.1420 1
```

***

Starting from a cell relaxed with PBE, the powder X-ray diffraction pattern of La3GaPd3 was calculated for a wavelength of 1.5418 Å.
Lines closer than 0.1° are merged.

Largest 8 diffraction maxima, in order of rising 2θ, 2θ = 10–90°:
two_theta  I (rel.)  h k l
31.00  45  4 0 -2
31.41  56  1 1 3
31.56  42  3 1 -1
31.86  77  1 1 -4
35.79  51  3 1 -4
38.17  100  3 1 2
42.92  44  0 2 0
53.86  24  4 2 -2

Atomic structure:
```
data_La3GaPd3
_space_group_name_H-M_alt 'C 1 2/m 1'
_space_group_IT_number 12
_cell_length_a 11.5497
_cell_length_b 4.2145
_cell_length_c 15.0742
_cell_angle_alpha 90.00
_cell_angle_beta 110.21
_cell_angle_gamma 90.00
loop_
_space_group_symop_operation_xyz
'x,y,z'
'-x,-y,-z'
'-x,y,-z'
'x,-y,z'
'x+1/2,y+1/2,z'
'-x+1/2,-y+1/2,-z'
'-x+1/2,y+1/2,-z'
'x+1/2,-y+1/2,z'
loop_
_atom_site_label
_atom_site_type_symbol
_atom_site_fract_x
_atom_site_fract_y
_atom_site_fract_z
_atom_site_occupancy
La1 La 0.0280 0.0000 0.3853 1
La2 La 0.1010 0.0000 0.9238 1
La3 La 0.2378 0.0000 0.2307 1
Ga1 Ga 0.2405 0.5000 0.4023 1
Pd1 Pd 0.0338 0.5000 0.2358 1
Pd2 Pd 0.1248 0.5000 0.0751 1
Pd3 Pd 0.1331 0.5000 0.5444 1
```

***

Starting from a cell relaxed with PBE, the powder X-ray diffraction pattern of GeBr was calculated for a wavelength of 1.5418 Å.
Lines closer than 0.1° are merged.

Largest 8 diffraction maxima, in order of rising 2θ, 2θ = 10–90°:
two_theta  I (rel.)  h k l
11.31  88  1 1 0
18.51  21  1 0 1
24.57  27  2 1 1
25.46  30  1 3 0
33.72  100  0 0 2
44.34  40  3 4 1
49.43  15  6 0 0
61.16  16  6 0 2

Atomic structure:
```
data_GeBr
_space_group_name_H-M_alt 'I 4/m'
_space_group_IT_number 87
_space_group_name_Hall '-I 4'
_cell_length_a 11.0634
_cell_length_b 11.0634
_cell_length_c 5.3187
_cell_angle_alpha 90.00
_cell_angle_beta 90.00
_cell_angle_gamma 90.00
loop_
_atom_site_label
_atom_site_type_symbol
_atom_site_fract_x
_atom_site_fract_y
_atom_site_fract_z
_atom_site_occupancy
Ge1 Ge 0.0828 0.5921 0.0000 1
Br1 Br 0.0864 0.2573 0.0000 1
```

***

Starting from a cell relaxed with PBE, the powder X-ray diffraction pattern of MgCd5 was calculated for a wavelength of 1.5418 Å.
Lines closer than 0.1° are merged.

Largest 8 diffraction maxima, in order of rising 2θ, 2θ = 10–90°:
two_theta  I (rel.)  h k l
32.85  25  1 0 0
34.38  27  0 0 6
37.21  100  1 0 3
48.29  16  1 0 6
58.66  17  1 1 0
63.44  19  1 0 9
69.79  19  1 1 6
71.55  14  2 0 3

Atomic structure:
```
data_MgCd5
_space_group_name_H-M_alt 'P -6 m 2'
_space_group_IT_number 187
_space_group_name_Hall 'P -6 2'
_cell_length_a 3.1478
_cell_length_b 3.1478
_cell_length_c 15.6527
_cell_angle_alpha 90.00
_cell_angle_beta 90.00
_cell_angle_gamma 120.00
loop_
_atom_site_label
_atom_site_type_symbol
_atom_site_fract_x
_atom_site_fract_y
_atom_site_fract_z
_atom_site_occupancy
Mg1 Mg 0.0000 0.0000 0.0000 1
Cd1 Cd 0.0000 0.0000 0.3296 1
Cd2 Cd 0.6667 0.3333 0.1608 1
Cd3 Cd 0.6667 0.3333 0.5000 1
```

***

Starting from a cell relaxed with PBE, the powder X-ray diffraction pattern of HoErAlHg was calculated for a wavelength of 1.5418 Å.
Lines closer than 0.1° are merged.

Largest 8 diffraction maxima, in order of rising 2θ, 2θ = 10–90°:
two_theta  I (rel.)  h k l
11.82  22  0 0 1
27.54  22  1 0 1
34.60  100  1 0 2
35.34  48  1 1 0
50.84  17  2 0 0
61.54  19  1 1 4
62.96  36  2 1 2
73.00  11  2 0 4

Atomic structure:
```
data_HoErAlHg
_space_group_name_H-M_alt 'P 4 m m'
_space_group_IT_number 99
_cell_length_a 3.5920
_cell_length_b 3.5920
_cell_length_c 7.4886
_cell_angle_alpha 90.00
_cell_angle_beta 90.00
_cell_angle_gamma 90.00
loop_
_space_group_symop_operation_xyz
'x,y,z'
'-y,x,z'
'-x,-y,z'
'y,-x,z'
'-x,y,z'
'y,x,z'
'x,-y,z'
'-y,-x,z'
loop_
_atom_site_label
_atom_site_type_symbol
_atom_site_fract_x
_atom_site_fract_y
_atom_site_fract_z
_atom_site_occupancy
Ho1 Ho 0.0000 0.0000 0.0000 1
Er1 Er 0.0000 0.0000 0.5195 1
Al1 Al 0.5000 0.5000 0.7586 1
Hg1 Hg 0.5000 0.5000 0.2628 1
```

***

Starting from a cell relaxed with PBE, the powder X-ray diffraction pattern of La3Y2Hg2 was calculated for a wavelength of 1.5418 Å.
Lines closer than 0.1° are merged.

Largest 8 diffraction maxima, in order of rising 2θ, 2θ = 10–90°:
two_theta  I (rel.)  h k l
30.70  100  1 1 1
32.01  85  1 7 0
33.82  33  0 6 1
35.48  33  2 0 0
39.61  29  0 8 1
49.83  22  2 6 1
54.21  24  2 8 1
61.21  27  1 7 2

Atomic structure:
```
data_La3Y2Hg2
_space_group_name_H-M_alt 'C m m m'
_space_group_IT_number 65
_space_group_name_Hall '-C 2 2'
_cell_length_a 5.0603
_cell_length_b 23.4813
_cell_length_c 3.6025
_cell_angle_alpha 90.00
_cell_angle_beta 90.00
_cell_angle_gamma 90.00
loop_
_atom_site_label
_atom_site_type_symbol
_atom_site_fract_x
_atom_site_fract_y
_atom_site_fract_z
_atom_site_occupancy
La1 La 0.0000 0.0000 0.0000 1
La2 La 0.0000 0.1419 0.0000 1
Y1 Y 0.0000 0.2912 0.5000 1
Hg1 Hg 0.0000 0.4292 0.5000 1
```

***

Starting from a cell relaxed with PBE, the powder X-ray diffraction pattern of Lu2C3N6 was calculated for a wavelength of 1.5418 Å.
Lines closer than 0.1° are merged.

Largest 8 diffraction maxima, in order of rising 2θ, 2θ = 10–90°:
two_theta  I (rel.)  h k l
17.41  70  1 0 1
17.80  51  0 0 3
20.24  53  0 1 2
28.53  55  1 1 0
33.83  100  1 1 3
46.59  38  1 1 6
50.53  18  3 0 0
53.99  21  0 3 3

Atomic structure:
```
data_Lu2C3N6
_space_group_name_H-M_alt 'R 3 2'
_space_group_IT_number 155
_space_group_name_Hall 'R 3 2"'
_cell_length_a 6.2574
_cell_length_b 6.2574
_cell_length_c 14.9519
_cell_angle_alpha 90.00
_cell_angle_beta 90.00
_cell_angle_gamma 120.00
loop_
_atom_site_label
_atom_site_type_symbol
_atom_site_fract_x
_atom_site_fract_y
_atom_site_fract_z
_atom_site_occupancy
Lu1 Lu 0.0000 0.0000 0.1731 1
C1 C 0.0000 0.2862 0.0000 1
N1 N 0.0057 0.4291 0.5911 1
```

***

Starting from a cell relaxed with PBE, the powder X-ray diffraction pattern of Li2Tb3Tl6 was calculated for a wavelength of 1.5418 Å.
Lines closer than 0.1° are merged.

Largest 8 diffraction maxima, in order of rising 2θ, 2θ = 10–90°:
two_theta  I (rel.)  h k l
27.86  39  1 1 2
30.40  51  1 1 4
34.25  100  1 1 6
34.88  31  0 0 10
38.51  59  2 0 0
52.93  38  2 0 10
64.46  30  1 1 16
66.95  29  3 1 6

Atomic structure:
```
data_Li2Tb3Tl6
_space_group_name_H-M_alt 'I 4/m m m'
_space_group_IT_number 139
_space_group_name_Hall '-I 4 2'
_cell_length_a 4.6755
_cell_length_b 4.6755
_cell_length_c 25.7219
_cell_angle_alpha 90.00
_cell_angle_beta 90.00
_cell_angle_gamma 90.00
loop_
_atom_site_label
_atom_site_type_symbol
_atom_site_fract_x
_atom_site_fract_y
_atom_site_fract_z
_atom_site_occupancy
Li1 Li 0.0000 0.0000 0.0462 1
Tb1 Tb 0.0000 0.0000 0.3091 1
Tb2 Tb 0.0000 0.0000 0.5000 1
Tl1 Tl 0.0000 0.0000 0.1889 1
Tl2 Tl 0.0000 0.5000 0.0966 1
```